For K3V2Cl7, a GGA-PBE-relaxed structure gives the computed XRD peak list in this record (a wavelength of 1.5418 Å).

```
data_K3V2Cl7
_chemical_formula_sum 'K6 V4 Cl14'
_symmetry_space_group_name_H-M 'I 4/m m m'
_symmetry_Int_Tables_number 139
_symmetry_space_group_name_Hall '-I 4 2'
_cell_length_a 4.9693
_cell_length_b 4.9693
_cell_length_c 25.5397
_cell_angle_alpha 90.00
_cell_angle_beta 90.00
_cell_angle_gamma 90.00
loop_
_atom_site_label
_atom_site_fract_x
_atom_site_fract_y
_atom_site_fract_z
K1 0.0000 0.0000 0.0000
K2 0.0000 0.0000 0.1811
V1 0.0000 0.0000 0.3999
Cl1 0.0000 0.0000 0.3041
Cl2 0.0000 0.0000 0.5000
Cl3 0.0000 0.5000 0.0948
```

Peak list (8 most intense, 2θ from 10° to 80°, in order of rising 2θ)
two_theta  d_spacing  intensity  (hkl)
13.87  6.385  31.5  0 0 4
18.19  4.878  25.8  1 0 1
25.35  3.514  42.4  1 1 0
33.06  2.710  60.6  1 1 6
35.14  2.554  41.4  0 0 10
36.15  2.485  100.0  2 0 0
51.30  1.781  48.7  2 0 10
52.05  1.757  30.6  2 2 0